No. 1
This entry pairs a crystal structure of Mn2CuO4 with its theoretical PXRD pattern. Radiation: copper Kα. Structure: the PBE+U geometry in the Materials Project.
Kinematic intensities with the Lorentz-polarization factor, no thermal factor.

```
Mn2CuO4
1.0
-3.0504 3.0504 4.1104
3.0504 -3.0504 4.1104
3.0504 3.0504 -4.1104
Mn Cu O
4 2 8
Cartesian
0.0000 0.0000 0.0000
1.5252 1.5252 -2.0552
1.5252 -1.5252 2.0552
0.0000 3.0504 0.0000
3.0504 1.5252 1.0276
0.0000 1.5252 3.0828
3.0504 2.9215 -2.1586
1.3963 1.5252 -0.1034
1.6540 -1.5252 4.0070
3.0504 -0.1289 2.1586
0.0000 3.1792 1.9518
1.3963 4.5755 0.1034
1.6540 1.5252 4.2138
0.0000 0.1289 6.2690
```

Most intense lines, 2θ = 10–90°, by intensity:
2theta  d [Å]  I (rel.)
34.64  2.589  100
35.93  2.500  44
62.41  1.488  40
30.03  2.976  35
55.44  1.657  31
60.72  1.525  22

---

No. 2
This entry pairs a crystal structure of BaV2P2O10 with its theoretical PXRD pattern. Radiation: copper Kα. Structure: the PBE+U geometry in the Materials Project.
Kinematic intensities with the Lorentz-polarization factor, no thermal factor.

```
BaV2P2O10
1.0
5.2968 0.0000 0.0000
0.0000 9.3509 0.0000
-0.7902 0.0000 16.5672
Ba V P O
4 8 8 40
Cartesian
-0.2463 1.8825 5.2867
-0.6414 2.7929 13.5703
5.1480 6.5580 2.9968
4.7529 7.4683 11.2804
0.2164 1.7394 9.3601
0.6115 2.9361 1.0766
2.1745 5.1111 5.6805
1.7794 8.9152 13.9641
2.7272 0.4357 2.6031
2.3321 4.2398 10.8866
3.8951 6.4148 15.4906
4.2902 7.6115 7.2070
1.3452 5.5848 13.7281
1.7403 8.4415 5.4445
1.6279 6.5670 8.6821
2.0230 7.4593 0.3985
2.4836 1.8916 16.1687
2.8787 2.7838 7.8851
2.7663 0.9094 11.1226
3.1614 3.7660 2.8390
0.0239 5.3671 14.5235
0.4190 8.6593 6.2399
0.7706 6.5120 0.3867
0.3755 7.5143 8.6702
0.8469 1.5570 1.9590
0.4518 3.1184 10.2426
0.4126 0.2638 13.3202
0.8077 4.4117 5.0366
1.6212 0.1136 4.2817
1.2261 4.5619 12.5653
1.5369 5.6419 7.4718
1.1418 8.3844 15.7554
1.5240 2.0147 7.8639
1.1289 2.6607 16.1475
1.4842 5.8475 10.0592
1.8793 8.1788 1.7756
1.5059 0.5674 10.2940
1.9010 4.1081 2.0104
1.8076 6.9959 4.8862
1.4125 7.0305 13.1698
3.0941 2.3204 3.3974
2.6990 2.3550 11.6810
2.6056 5.2428 14.5567
3.0007 8.7835 6.2732
2.6273 1.1721 14.7916
3.0224 3.5033 6.5080
3.3777 6.6902 0.4197
2.9826 7.3361 8.7033
3.3648 0.9665 0.8118
2.9697 3.7089 9.0954
3.2805 4.7890 4.0018
2.8854 9.2373 12.2854
3.6989 4.9392 11.5305
4.0940 9.0871 3.2470
4.0548 6.2325 6.3245
3.6598 7.7938 14.6081
4.1311 1.8365 7.8969
3.7360 2.8389 16.1805
4.0876 0.6916 10.3272
4.4827 3.9838 2.0436
```

Most intense lines, 2θ = 10–90°, by intensity:
2theta  d [Å]  I (rel.)
28.38  3.145  100
25.42  3.503  67
29.60  3.018  59
27.97  3.190  52
30.65  2.917  41
21.69  4.098  34

---

What did the second record say?
This entry pairs a crystal structure of BaV2P2O10 with its theoretical PXRD pattern. Radiation: copper Kα. Structure: the PBE+U geometry in the Materials Project.
Kinematic intensities with the Lorentz-polarization factor, no thermal factor.

```
BaV2P2O10
1.0
5.2968 0.0000 0.0000
0.0000 9.3509 0.0000
-0.7902 0.0000 16.5672
Ba V P O
4 8 8 40
Cartesian
-0.2463 1.8825 5.2867
-0.6414 2.7929 13.5703
5.1480 6.5580 2.9968
4.7529 7.4683 11.2804
0.2164 1.7394 9.3601
0.6115 2.9361 1.0766
2.1745 5.1111 5.6805
1.7794 8.9152 13.9641
2.7272 0.4357 2.6031
2.3321 4.2398 10.8866
3.8951 6.4148 15.4906
4.2902 7.6115 7.2070
1.3452 5.5848 13.7281
1.7403 8.4415 5.4445
1.6279 6.5670 8.6821
2.0230 7.4593 0.3985
2.4836 1.8916 16.1687
2.8787 2.7838 7.8851
2.7663 0.9094 11.1226
3.1614 3.7660 2.8390
0.0239 5.3671 14.5235
0.4190 8.6593 6.2399
0.7706 6.5120 0.3867
0.3755 7.5143 8.6702
0.8469 1.5570 1.9590
0.4518 3.1184 10.2426
0.4126 0.2638 13.3202
0.8077 4.4117 5.0366
1.6212 0.1136 4.2817
1.2261 4.5619 12.5653
1.5369 5.6419 7.4718
1.1418 8.3844 15.7554
1.5240 2.0147 7.8639
1.1289 2.6607 16.1475
1.4842 5.8475 10.0592
1.8793 8.1788 1.7756
1.5059 0.5674 10.2940
1.9010 4.1081 2.0104
1.8076 6.9959 4.8862
1.4125 7.0305 13.1698
3.0941 2.3204 3.3974
2.6990 2.3550 11.6810
2.6056 5.2428 14.5567
3.0007 8.7835 6.2732
2.6273 1.1721 14.7916
3.0224 3.5033 6.5080
3.3777 6.6902 0.4197
2.9826 7.3361 8.7033
3.3648 0.9665 0.8118
2.9697 3.7089 9.0954
3.2805 4.7890 4.0018
2.8854 9.2373 12.2854
3.6989 4.9392 11.5305
4.0940 9.0871 3.2470
4.0548 6.2325 6.3245
3.6598 7.7938 14.6081
4.1311 1.8365 7.8969
3.7360 2.8389 16.1805
4.0876 0.6916 10.3272
4.4827 3.9838 2.0436
```

Most intense lines, 2θ = 10–90°, by intensity:
2theta  d [Å]  I (rel.)
28.38  3.145  100
25.42  3.503  67
29.60  3.018  59
27.97  3.190  52
30.65  2.917  41
21.69  4.098  34

---

Repeat the first record exactly.
This entry pairs a crystal structure of Mn2CuO4 with its theoretical PXRD pattern. Radiation: copper Kα. Structure: the PBE+U geometry in the Materials Project.
Kinematic intensities with the Lorentz-polarization factor, no thermal factor.

```
Mn2CuO4
1.0
-3.0504 3.0504 4.1104
3.0504 -3.0504 4.1104
3.0504 3.0504 -4.1104
Mn Cu O
4 2 8
Cartesian
0.0000 0.0000 0.0000
1.5252 1.5252 -2.0552
1.5252 -1.5252 2.0552
0.0000 3.0504 0.0000
3.0504 1.5252 1.0276
0.0000 1.5252 3.0828
3.0504 2.9215 -2.1586
1.3963 1.5252 -0.1034
1.6540 -1.5252 4.0070
3.0504 -0.1289 2.1586
0.0000 3.1792 1.9518
1.3963 4.5755 0.1034
1.6540 1.5252 4.2138
0.0000 0.1289 6.2690
```

Most intense lines, 2θ = 10–90°, by intensity:
2theta  d [Å]  I (rel.)
34.64  2.589  100
35.93  2.500  44
62.41  1.488  40
30.03  2.976  35
55.44  1.657  31
60.72  1.525  22